[1]
Starting from a structure optimized by DFT (PBE), the powder XRD pattern of Rb3NaTl2Br6 was calculated for Cu Kα (λ = 1.5418 Å).
Kinematic intensities with the Lorentz-polarization factor, no thermal factor.

Cell and atoms:
Cell lengths 8.313, 8.313, 8.256 Å; angles 99.71, 99.71, 119.96 degrees
Positions (direct):
1 Rb 0.000 0.000 0.000
2 Rb 0.329 0.671 0.000
3 Rb 0.671 0.329 0.000
4 Na 0.500 0.500 0.500
5 Tl 0.165 0.835 0.500
6 Tl 0.835 0.165 0.500
7 Br 0.108 0.423 0.269
8 Br 0.264 0.264 0.732
9 Br 0.423 0.108 0.269
10 Br 0.577 0.892 0.731
11 Br 0.736 0.736 0.268
12 Br 0.892 0.577 0.731

Principal peaks in the range 2θ = 10–90°, in order of falling intensity:
d [Å]	Rel. int.
3.385	100
2.400	38
2.387	37
1.958	21
1.517	17
1.510	17
1.692	12
1.383	12
7.773	8
3.916	7

[2]
Starting from a structure optimized by DFT (PBE), the powder XRD pattern of Na2ReBr7 was calculated for Cu Kα (λ = 1.5418 Å).
Kinematic intensities with the Lorentz-polarization factor, no thermal factor.

Cell and atoms:
Cell lengths 10.322, 10.322, 12.647 Å; angles 127.49, 127.49, 46.05 degrees
Positions (direct):
1 Na 0.163 0.697 0.975
2 Na 0.303 0.837 0.525
3 Na 0.697 0.163 0.475
4 Na 0.837 0.303 0.025
5 Re 0.201 0.799 0.750
6 Re 0.799 0.201 0.250
7 Br 0.040 0.268 0.310
8 Br 0.062 0.739 0.485
9 Br 0.131 0.869 0.250
10 Br 0.261 0.938 0.015
11 Br 0.268 0.040 0.810
12 Br 0.407 0.482 0.801
13 Br 0.482 0.407 0.301
14 Br 0.518 0.593 0.699
15 Br 0.593 0.518 0.199
16 Br 0.732 0.960 0.190
17 Br 0.739 0.062 0.985
18 Br 0.869 0.131 0.750
19 Br 0.938 0.261 0.515
20 Br 0.960 0.732 0.690

Principal peaks in the range 2θ = 10–90°, in order of falling intensity:
d [Å]	Rel. int.
7.126	100
6.805	87
2.645	29
6.324	25
4.744	22
2.469	20
2.896	17
3.068	14
4.921	13
7.025	13

[3]
Starting from a structure optimized by DFT (PBE), the powder XRD pattern of Na3RhBr6 was calculated for Cu Kα (λ = 1.5418 Å).
Kinematic intensities with the Lorentz-polarization factor, no thermal factor.

Cell and atoms:
Cell lengths 8.514, 7.985, 6.861 Å; angles 69.51, 61.47, 49.02 degrees
Positions (direct):
1 Na 0.000 0.000 0.000
2 Na 0.250 0.250 0.250
3 Na 0.750 0.750 0.750
4 Rh 0.500 0.500 0.500
5 Br 0.164 0.572 0.836
6 Br 0.264 0.736 0.264
7 Br 0.428 0.836 0.572
8 Br 0.572 0.164 0.428
9 Br 0.736 0.264 0.736
10 Br 0.836 0.428 0.164

Principal peaks in the range 2θ = 10–90°, in order of falling intensity:
d [Å]	Rel. int.
6.019	100
3.662	83
2.655	69
6.677	59
2.641	57
2.822	50
1.872	46
5.282	46
2.142	35
3.371	33

[4]
Starting from a structure optimized by DFT (PBE), the powder XRD pattern of Na3RuBr6 was calculated for Cu Kα (λ = 1.5418 Å).
Kinematic intensities with the Lorentz-polarization factor, no thermal factor.

Cell and atoms:
Cell lengths 8.615, 8.097, 6.829 Å; angles 69.92, 61.97, 48.12 degrees
Positions (direct):
1 Na 0.000 0.000 0.000
2 Na 0.250 0.250 0.250
3 Na 0.750 0.750 0.750
4 Ru 0.500 0.500 0.500
5 Br 0.162 0.576 0.838
6 Br 0.264 0.736 0.264
7 Br 0.424 0.838 0.576
8 Br 0.576 0.162 0.424
9 Br 0.736 0.264 0.736
10 Br 0.838 0.424 0.162

Principal peaks in the range 2θ = 10–90°, in order of falling intensity:
d [Å]	Rel. int.
6.022	100
3.673	87
2.686	78
6.824	68
2.629	59
2.862	57
1.879	51
5.258	48
3.355	37
2.138	36

[5]
Starting from a structure optimized by DFT (PBE), the powder XRD pattern of Na6SBr4 was calculated for Cu Kα (λ = 1.5418 Å).
Kinematic intensities with the Lorentz-polarization factor, no thermal factor.

Cell and atoms:
Cell lengths 8.658, 8.658, 8.658 Å; angles 90.32, 90.32, 90.32 degrees
Positions (direct):
1 Na 0.036 0.937 0.702
2 Na 0.063 0.298 0.964
3 Na 0.202 0.437 0.536
4 Na 0.298 0.964 0.063
5 Na 0.437 0.536 0.202
6 Na 0.464 0.798 0.563
7 Na 0.536 0.202 0.437
8 Na 0.563 0.464 0.798
9 Na 0.702 0.036 0.937
10 Na 0.798 0.563 0.464
11 Na 0.937 0.702 0.036
12 Na 0.964 0.063 0.298
13 S 0.000 0.000 0.000
14 S 0.500 0.500 0.500
15 Br 0.084 0.750 0.416
16 Br 0.250 0.250 0.250
17 Br 0.250 0.584 0.916
18 Br 0.416 0.084 0.750
19 Br 0.584 0.916 0.250
20 Br 0.750 0.416 0.084
21 Br 0.750 0.750 0.750
22 Br 0.916 0.250 0.584

Principal peaks in the range 2θ = 10–90°, in order of falling intensity:
d [Å]	Rel. int.
3.544	100
3.863	74
2.612	71
2.103	31
2.733	28
2.047	28
2.035	27
1.772	21
2.485	17
1.580	16

[6]
Starting from a structure optimized by DFT (PBE), the powder XRD pattern of Na5SbS4Br2 was calculated for Cu Kα (λ = 1.5418 Å).
Kinematic intensities with the Lorentz-polarization factor, no thermal factor.

Cell and atoms:
Cell lengths 8.439, 6.712, 6.712 Å; angles 117.17, 90.00, 90.00 degrees
Positions (direct):
1 Na 0.000 0.000 0.000
2 Na 0.262 0.292 0.674
3 Na 0.262 0.674 0.292
4 Na 0.738 0.292 0.674
5 Na 0.738 0.674 0.292
6 Sb 0.500 0.014 0.014
7 S 0.275 0.215 0.215
8 S 0.500 0.645 0.978
9 S 0.500 0.978 0.645
10 S 0.725 0.215 0.215
11 Br 0.000 0.556 0.934
12 Br 0.000 0.934 0.556

Principal peaks in the range 2θ = 10–90°, in order of falling intensity:
d [Å]	Rel. int.
2.437	100
3.352	93
3.446	82
4.739	57
5.972	53
4.874	53
1.936	47
2.109	38
4.219	29
3.232	28